Nd4CuRh3: computed powder XRD pattern (Cu Kα (λ = 1.5418 Å)), based on a DFT-relaxed cell (GGA-PBE, Alexandria).
Neutral-atom scattering factors, no anomalous dispersion.

Cell and atoms:
abc: 3.938 4.386 10.842
angles: 90.00 90.00 90.00
Sites, in units of the cell vectors:
Nd (0.000, 0.000, 0.000)
Nd (0.000, 0.500, 0.273)
Nd (0.500, 0.000, 0.490)
Nd (0.500, 0.500, 0.772)
Cu (0.000, 0.000, 0.706)
Rh (0.000, 0.500, 0.562)
Rh (0.500, 0.000, 0.222)
Rh (0.500, 0.500, 0.041)

Most intense lines, 10° ≤ 2θ ≤ 90°, sorted by position:
| index | two_theta | I (rel.) |
| --- | --- | --- |
| 1 1 1 | 31.6 | 1000 |
| 0 0 4 | 33.0 | 289 |
| 1 0 3 | 33.7 | 270 |
| 0 1 4 | 39.1 | 193 |
| 1 1 3 | 39.6 | 605 |
| 0 2 0 | 41.2 | 280 |
| 2 0 0 | 46.1 | 202 |
| 0 2 4 | 53.8 | 177 |
| 1 2 3 | 54.2 | 139 |
| 2 2 0 | 63.5 | 153 |
| 1 0 7 | 64.7 | 120 |
| 1 2 7 | 79.6 | 135 |